Theoretical powder X-ray diffraction pattern of Mn5ZnFeN2 for a wavelength of 1.5418 Å, from a cell relaxed with PBE.
Peak positions follow from Bragg's law for the DFT cell and can differ from measured ones.

Main lines, by angle (10° ≤ 2θ ≤ 90°):
two_theta	I (rel.)
25.7	14
34.5	13
40.6	100
46.1	46
49.4	15
67.3	13
69.9	18
81.7	23

Cell and atoms:
```
data_Mn5ZnFeN2
_chemical_formula_sum 'Mn5 Zn1 Fe1 N2'
_space_group_name_H-M_alt 'P 4/m m m'
_space_group_IT_number 123
_space_group_name_Hall '-P 4 2'
_cell_length_a 3.934
_cell_length_b 3.934
_cell_length_c 7.374
_cell_angle_alpha 90.00
_cell_angle_beta 90.00
_cell_angle_gamma 90.00
loop_
_atom_site_label
_atom_site_type_symbol
_atom_site_fract_x
_atom_site_fract_y
_atom_site_fract_z
Mn1 Mn 0.000 0.000 0.000
Mn2 Mn 0.000 0.500 0.278
Zn1 Zn 0.500 0.500 0.000
Fe1 Fe 0.000 0.000 0.500
N1 N 0.000 0.000 0.256
```